# BaTl2O4
Simulated XRD peak list, Cu Kα (λ = 1.5418 Å). Input: a crystal structure in Alexandria, relaxed with PBE.
Neutral-atom scattering factors, no anomalous dispersion.

Structure:
```
data_BaTl2O4
_symmetry_space_group_name_H-M 'C 1 2/c 1'
_symmetry_Int_Tables_number 15
_cell_length_a 10.599
_cell_length_b 6.265
_cell_length_c 22.115
_cell_angle_alpha 90.00
_cell_angle_beta 90.11
_cell_angle_gamma 90.00
loop_
_symmetry_equiv_pos_as_xyz
'x,y,z'
'-x,-y,-z'
'-x,y,-z+1/2'
'x,-y,z+1/2'
'x+1/2,y+1/2,z'
'-x+1/2,-y+1/2,-z'
'-x+1/2,y+1/2,-z+1/2'
'x+1/2,-y+1/2,z+1/2'
loop_
_atom_site_label
_atom_site_fract_x
_atom_site_fract_y
_atom_site_fract_z
Ba1 0.000 0.117 0.250
Ba2 0.166 0.373 0.643
Tl1 0.000 0.134 0.069
Tl2 0.160 0.370 0.946
Tl3 0.166 0.369 0.805
O1 0.000 0.465 0.750
O2 0.000 0.500 0.000
O3 0.047 0.157 0.871
O4 0.123 0.351 0.381
O5 0.146 0.052 0.998
O6 0.181 0.205 0.124
O7 0.211 0.100 0.742
```

Top 10 peaks for 5° ≤ 2θ ≤ 70°, in order of rising 2θ:
- 2θ = 16.92°, d 5.240, rel. 25
- 2θ = 26.07°, d 3.418, rel. 22
- 2θ = 28.78°, d 3.102, rel. 53
- 2θ = 29.01°, d 3.078, rel. 60
- 2θ = 29.33°, d 3.045, rel. 100
- 2θ = 29.49°, d 3.029, rel. 50
- 2θ = 32.87°, d 2.725, rel. 26
- 2θ = 44.14°, d 2.052, rel. 27
- 2θ = 50.78°, d 1.798, rel. 22
- 2θ = 51.77°, d 1.766, rel. 27


# Sc5Pt2Rh
Simulated XRD peak list, Cu Kα (λ = 1.5418 Å). Input: a crystal structure in Alexandria, relaxed with PBE.
Neutral-atom scattering factors, no anomalous dispersion.

Structure:
```
data_Sc5Pt2Rh
_symmetry_space_group_name_H-M 'P b a m'
_symmetry_Int_Tables_number 55
_cell_length_a 6.266
_cell_length_b 10.986
_cell_length_c 4.533
_cell_angle_alpha 90.00
_cell_angle_beta 90.00
_cell_angle_gamma 90.00
loop_
_symmetry_equiv_pos_as_xyz
'x,y,z'
'-x,-y,-z'
'-x,-y,z'
'x,y,-z'
'x+1/2,-y+1/2,-z'
'-x+1/2,y+1/2,z'
'-x+1/2,y+1/2,-z'
'x+1/2,-y+1/2,z'
loop_
_atom_site_label
_atom_site_fract_x
_atom_site_fract_y
_atom_site_fract_z
Sc1 0.000 0.000 0.000
Sc2 0.151 0.283 0.000
Sc3 0.176 0.600 0.500
Pt1 0.090 0.850 0.500
Rh1 0.000 0.500 0.000
```

Top 10 peaks for 5° ≤ 2θ ≤ 70°, in order of rising 2θ:
- 2θ = 19.58°, d 4.533, rel. 31
- 2θ = 25.55°, d 3.486, rel. 82
- 2θ = 28.23°, d 3.162, rel. 52
- 2θ = 29.65°, d 3.013, rel. 25
- 2θ = 34.59°, d 2.593, rel. 41
- 2θ = 35.77°, d 2.510, rel. 100
- 2θ = 38.32°, d 2.349, rel. 77
- 2θ = 38.59°, d 2.333, rel. 25
- 2θ = 39.77°, d 2.267, rel. 50
- 2θ = 50.93°, d 1.793, rel. 27


# Cs4RbI4
Simulated XRD peak list, Cu Kα (λ = 1.5418 Å). Input: a crystal structure in Alexandria, relaxed with PBE.
Neutral-atom scattering factors, no anomalous dispersion.

Structure:
```
data_Cs4RbI4
_symmetry_space_group_name_H-M 'C 1 2/m 1'
_symmetry_Int_Tables_number 12
_cell_length_a 17.307
_cell_length_b 7.823
_cell_length_c 12.239
_cell_angle_alpha 90.00
_cell_angle_beta 134.95
_cell_angle_gamma 90.00
loop_
_symmetry_equiv_pos_as_xyz
'x,y,z'
'-x,-y,-z'
'-x,y,-z'
'x,-y,z'
'x+1/2,y+1/2,z'
'-x+1/2,-y+1/2,-z'
'-x+1/2,y+1/2,-z'
'x+1/2,-y+1/2,z'
loop_
_atom_site_label
_atom_site_fract_x
_atom_site_fract_y
_atom_site_fract_z
Cs1 0.097 0.000 0.395
Cs2 0.202 0.500 0.799
Rb1 0.000 0.500 0.000
I1 0.097 0.500 0.390
I2 0.207 0.000 0.804
```

Top 10 peaks for 5° ≤ 2θ ≤ 70°, in order of rising 2θ:
- 2θ = 22.73°, d 3.912, rel. 50
- 2θ = 22.97°, d 3.872, rel. 100
- 2θ = 32.54°, d 2.752, rel. 82
- 2θ = 32.71°, d 2.738, rel. 39
- 2θ = 40.21°, d 2.243, rel. 44
- 2θ = 46.93°, d 1.936, rel. 14
- 2θ = 52.41°, d 1.746, rel. 21
- 2θ = 52.76°, d 1.735, rel. 19
- 2θ = 52.88°, d 1.732, rel. 19
- 2θ = 58.27°, d 1.583, rel. 28


What did the second record say?
# Sc5Pt2Rh
Simulated XRD peak list, Cu Kα (λ = 1.5418 Å). Input: a crystal structure in Alexandria, relaxed with PBE.
Neutral-atom scattering factors, no anomalous dispersion.

Structure:
```
data_Sc5Pt2Rh
_symmetry_space_group_name_H-M 'P b a m'
_symmetry_Int_Tables_number 55
_cell_length_a 6.266
_cell_length_b 10.986
_cell_length_c 4.533
_cell_angle_alpha 90.00
_cell_angle_beta 90.00
_cell_angle_gamma 90.00
loop_
_symmetry_equiv_pos_as_xyz
'x,y,z'
'-x,-y,-z'
'-x,-y,z'
'x,y,-z'
'x+1/2,-y+1/2,-z'
'-x+1/2,y+1/2,z'
'-x+1/2,y+1/2,-z'
'x+1/2,-y+1/2,z'
loop_
_atom_site_label
_atom_site_fract_x
_atom_site_fract_y
_atom_site_fract_z
Sc1 0.000 0.000 0.000
Sc2 0.151 0.283 0.000
Sc3 0.176 0.600 0.500
Pt1 0.090 0.850 0.500
Rh1 0.000 0.500 0.000
```

Top 10 peaks for 5° ≤ 2θ ≤ 70°, in order of rising 2θ:
- 2θ = 19.58°, d 4.533, rel. 31
- 2θ = 25.55°, d 3.486, rel. 82
- 2θ = 28.23°, d 3.162, rel. 52
- 2θ = 29.65°, d 3.013, rel. 25
- 2θ = 34.59°, d 2.593, rel. 41
- 2θ = 35.77°, d 2.510, rel. 100
- 2θ = 38.32°, d 2.349, rel. 77
- 2θ = 38.59°, d 2.333, rel. 25
- 2θ = 39.77°, d 2.267, rel. 50
- 2θ = 50.93°, d 1.793, rel. 27